For Cs4PbO4, a structure optimized by DFT (PBE) gives the computed powder diffraction line list in this record (Cu Ka).
Lines closer than 0.1° are merged.

Principal peaks in the range 2θ from 5° to 70°, by angle:
- d = 3.405 Å, I 100
- d = 3.392 Å, I 44
- d = 3.304 Å, I 89
- d = 2.790 Å, I 33
- d = 2.764 Å, I 39
- d = 2.141 Å, I 13
- d = 2.101 Å, I 21
- d = 1.944 Å, I 19

Structural model:
Cell lengths 12.085, 7.559, 11.962 Å; angles 90.00, 111.08, 90.00 degrees
Space group P2_1/c (No. 14)
Inequivalent atoms, fractional coordinates:
Cs: 0.063 0.085 0.200 [4 per cell]
Cs: 0.155 0.613 0.083 [4 per cell]
Cs: 0.371 0.665 0.893 [4 per cell]
Cs: 0.422 0.179 0.789 [4 per cell]
Pb: 0.242 0.124 0.991 [4 per cell]
O: 0.075 0.236 0.973 [4 per cell]
O: 0.214 0.517 0.330 [4 per cell]
O: 0.311 0.535 0.647 [4 per cell]
O: 0.364 0.167 0.509 [4 per cell]

For DyTl2InS4, a structure optimized by DFT (PBE) gives the computed powder diffraction line list in this record (Cu Ka).
Lines closer than 0.1° are merged.

Principal peaks in the range 2θ from 5° to 70°, by angle:
- d = 3.970 Å, I 95
- d = 3.437 Å, I 27
- d = 2.807 Å, I 57
- d = 2.598 Å, I 100
- d = 2.174 Å, I 44
- d = 1.775 Å, I 29
- d = 1.719 Å, I 35
- d = 1.577 Å, I 48

Structural model:
Cell lengths 7.939, 7.939, 6.874 Å; angles 90.00, 90.00, 90.00 degrees
Space group I-42m (No. 121)
Inequivalent atoms, fractional coordinates:
Dy: 0.000 0.000 0.000 [2 per cell]
Tl: 0.000 0.500 0.000 [4 per cell]
In: 0.000 0.000 0.500 [2 per cell]
S: 0.172 0.172 0.736 [8 per cell]

For HoB2Ru, a structure optimized by DFT (PBE) gives the computed powder diffraction line list in this record (Cu Ka).
Lines closer than 0.1° are merged.

Principal peaks in the range 2θ from 5° to 70°, by angle:
- d = 3.173 Å, I 22
- d = 2.653 Å, I 57
- d = 2.473 Å, I 90
- d = 2.389 Å, I 100
- d = 2.035 Å, I 17
- d = 1.494 Å, I 18
- d = 1.475 Å, I 24
- d = 1.472 Å, I 17

Structural model:
Cell lengths 5.901, 5.306, 6.346 Å; angles 90.00, 90.00, 90.00 degrees
Space group Pnma (No. 62)
Inequivalent atoms, fractional coordinates:
Ho: 0.011 0.250 0.163 [4 per cell]
B: 0.131 0.584 0.462 [8 per cell]
Ru: 0.181 0.250 0.681 [4 per cell]

For KCa5Mg5AlSi12O36, a structure optimized by DFT (PBE) gives the computed powder diffraction line list in this record (Cu Ka).
Lines closer than 0.1° are merged.

Principal peaks in the range 2θ from 5° to 70°, by angle:
- d = 3.259 Å, I 26
- d = 3.021 Å, I 100
- d = 2.969 Å, I 27
- d = 2.918 Å, I 37
- d = 2.592 Å, I 24
- d = 2.557 Å, I 43
- d = 2.538 Å, I 41
- d = 2.062 Å, I 20

Structural model:
Cell lengths 9.814, 9.015, 15.960 Å; angles 90.00, 105.98, 90.00 degrees
Space group C2 (No. 5)
Inequivalent atoms, fractional coordinates:
K: 0.000 0.000 0.000 [2 per cell]
Ca: 0.000 0.394 0.500 [2 per cell]
Ca: 0.002 0.995 0.668 [4 per cell]
Ca: 0.003 0.392 0.832 [4 per cell]
Mg: 0.000 0.788 0.500 [2 per cell]
Mg: 0.001 0.603 0.334 [4 per cell]
Mg: 0.001 0.790 0.166 [4 per cell]
Al: 0.000 0.600 0.000 [2 per cell]
Si: 0.213 0.102 0.506 [4 per cell]
Si: 0.213 0.286 0.009 [4 per cell]
Si: 0.213 0.289 0.340 [4 per cell]
Si: 0.215 0.103 0.843 [4 per cell]
Si: 0.215 0.288 0.674 [4 per cell]
Si: 0.218 0.101 0.176 [4 per cell]
O: 0.110 0.605 0.121 [4 per cell]
O: 0.111 0.610 0.796 [4 per cell]
O: 0.113 0.783 0.298 [4 per cell]
O: 0.115 0.607 0.464 [4 per cell]
O: 0.115 0.784 0.630 [4 per cell]
O: 0.116 0.757 0.965 [4 per cell]
O: 0.134 0.445 0.982 [4 per cell]
O: 0.136 0.442 0.644 [4 per cell]
O: 0.136 0.947 0.475 [4 per cell]
O: 0.138 0.444 0.308 [4 per cell]
O: 0.139 0.947 0.816 [4 per cell]
O: 0.148 0.189 0.916 [4 per cell]
O: 0.149 0.216 0.419 [4 per cell]
O: 0.150 0.176 0.253 [4 per cell]
O: 0.151 0.177 0.585 [4 per cell]
O: 0.153 0.939 0.153 [4 per cell]
O: 0.154 0.218 0.091 [4 per cell]
O: 0.156 0.207 0.752 [4 per cell]

For Sr6Nb7O21, a structure optimized by DFT (PBE) gives the computed powder diffraction line list in this record (Cu Ka).
Lines closer than 0.1° are merged.

Principal peaks in the range 2θ from 5° to 70°, by angle:
- d = 7.615 Å, I 3
- d = 6.218 Å, I 2
- d = 4.070 Å, I 9
- d = 2.878 Å, I 100
- d = 2.035 Å, I 36
- d = 1.820 Å, I 3
- d = 1.662 Å, I 39
- d = 1.439 Å, I 21

Structural model:
Cell lengths 7.051, 9.100, 9.101 Å; angles 113.57, 104.96, 104.97 degrees
Space group P1 (No. 1)
Inequivalent atoms, fractional coordinates:
Sr: 0.000 0.000 0.000 [1 per cell]
Sr: 0.135 0.564 0.848 [1 per cell]
Sr: 0.285 0.139 0.710 [1 per cell]
Sr: 0.423 0.705 0.567 [1 per cell]
Sr: 0.714 0.855 0.286 [1 per cell]
Sr: 0.859 0.427 0.144 [1 per cell]
Nb: 0.071 0.283 0.426 [1 per cell]
Nb: 0.216 0.860 0.284 [1 per cell]
Nb: 0.358 0.426 0.144 [1 per cell]
Nb: 0.502 0.002 0.002 [1 per cell]
Nb: 0.641 0.567 0.852 [1 per cell]
Nb: 0.782 0.142 0.709 [1 per cell]
Nb: 0.925 0.709 0.568 [1 per cell]
O: 0.012 0.505 0.498 [1 per cell]
O: 0.068 0.784 0.425 [1 per cell]
O: 0.072 0.285 0.926 [1 per cell]
O: 0.130 0.064 0.354 [1 per cell]
O: 0.205 0.355 0.279 [1 per cell]
O: 0.215 0.857 0.781 [1 per cell]
O: 0.284 0.641 0.215 [1 per cell]
O: 0.350 0.918 0.132 [1 per cell]
O: 0.351 0.431 0.647 [1 per cell]
O: 0.426 0.212 0.058 [1 per cell]
O: 0.497 0.992 0.500 [1 per cell]
O: 0.501 0.505 0.002 [1 per cell]
O: 0.572 0.785 0.925 [1 per cell]
O: 0.643 0.577 0.354 [1 per cell]
O: 0.644 0.069 0.855 [1 per cell]
O: 0.715 0.357 0.796 [1 per cell]
O: 0.791 0.137 0.206 [1 per cell]
O: 0.794 0.649 0.720 [1 per cell]
O: 0.857 0.927 0.640 [1 per cell]
O: 0.928 0.713 0.069 [1 per cell]
O: 0.935 0.213 0.573 [1 per cell]

For SnCN2, a structure optimized by DFT (PBE) gives the computed powder diffraction line list in this record (Cu Ka).
Lines closer than 0.1° are merged.

Principal peaks in the range 2θ from 5° to 70°, by angle:
- d = 5.047 Å, I 49
- d = 3.412 Å, I 50
- d = 2.826 Å, I 100
- d = 2.029 Å, I 40
- d = 1.970 Å, I 27
- d = 1.835 Å, I 23
- d = 1.616 Å, I 19
- d = 1.509 Å, I 15

Structural model:
Cell lengths 3.9395, 3.9395, 10.0933 Å; angles 90.00, 90.00, 120.00 degrees
Space group P6_3/mmc (No. 194)
Inequivalent atoms, fractional coordinates:
Sn: 0.0000 0.0000 0.0000 [2 per cell]
C: 0.3333 0.6667 0.2500 [2 per cell]
N: 0.3333 0.6667 0.1271 [4 per cell]

For BaCoS2, a structure optimized by DFT (PBE) gives the computed powder diffraction line list in this record (Cu Ka).
Lines closer than 0.1° are merged.

Principal peaks in the range 2θ from 5° to 70°, by angle:
- d = 3.936 Å, I 38
- d = 3.136 Å, I 57
- d = 3.095 Å, I 100
- d = 2.998 Å, I 34
- d = 2.549 Å, I 49
- d = 2.473 Å, I 60
- d = 2.189 Å, I 66
- d = 1.555 Å, I 35

Structural model:
Cell lengths 4.377, 4.377, 8.993 Å; angles 90.00, 90.00, 90.00 degrees
Space group P4/nmm (No. 129, origin choice 2)
Inequivalent atoms, fractional coordinates:
Ba: 0.250 0.250 0.201 [2 per cell]
Co: 0.250 0.250 0.587 [2 per cell]
S: 0.250 0.250 0.840 [2 per cell]
S: 0.250 0.750 0.500 [2 per cell]

For LuB3H12, a structure optimized by DFT (PBE) gives the computed powder diffraction line list in this record (Cu Ka).
Lines closer than 0.1° are merged.

Principal peaks in the range 2θ from 5° to 70°, by angle:
- d = 5.383 Å, I 100
- d = 3.806 Å, I 62
- d = 3.108 Å, I 20
- d = 2.691 Å, I 20
- d = 2.407 Å, I 48
- d = 2.198 Å, I 32
- d = 1.794 Å, I 26
- d = 1.439 Å, I 17

Structural model:
Cell lengths 10.766, 10.766, 10.766 Å; angles 90.00, 90.00, 90.00 degrees
Space group Fm-3c (No. 226)
Inequivalent atoms, fractional coordinates:
Lu: 0.000 0.000 0.000 [8 per cell]
B: 0.000 0.000 0.250 [24 per cell]
H: 0.000 0.095 0.187 [96 per cell]